[1]
LuAl4Ni: simulated powder diffraction line list (CuKα), based on a PBE-relaxed structure.
Lines closer than 0.1° are merged.

Structure:
```
LuAl4Ni
1.0
2.0034 -7.5743 0.0000
2.0034 7.5743 0.0000
0.0000 0.0000 6.6801
Lu Al Ni
2 8 2
direct
0.1207 0.8793 0.7500
0.8793 0.1207 0.2500
0.0745 0.9255 0.2500
0.3129 0.6871 0.5536
0.3129 0.6871 0.9464
0.5000 0.5000 0.0000
0.5000 0.5000 0.5000
0.6871 0.3129 0.0536
0.6871 0.3129 0.4464
0.9255 0.0745 0.7500
0.2286 0.7714 0.2500
0.7714 0.2286 0.7500
```

The 10 most intense peaks (5° ≤ 2θ ≤ 70°), by intensity:
two_theta	Rel. int.
35.5	100
17.7	94
31.5	84
26.7	66
39.7	59
38.1	57
23.0	44
37.2	40
39.4	39
45.3	37

[2]
Li3WN2: simulated powder diffraction line list (CuKα), based on a PBE-relaxed structure.
Lines closer than 0.1° are merged.

Structure:
```
Li3WN2
1.0
4.8690 0.0000 0.0000
0.0000 6.3367 0.0000
-0.3937 0.0000 4.8542
Li W N
6 2 4
direct
0.1838 0.2500 0.3204
0.2149 0.0081 0.8315
0.2149 0.4919 0.8315
0.7851 0.5081 0.1685
0.7851 0.9919 0.1685
0.8162 0.7500 0.6796
0.3154 0.7500 0.3499
0.6846 0.2500 0.6501
0.0543 0.7500 0.0554
0.5000 0.0000 0.5000
0.5000 0.5000 0.5000
0.9457 0.2500 0.9446
```

The 10 most intense peaks (5° ≤ 2θ ≤ 70°), by intensity:
two_theta	Rel. int.
23.1	100
24.9	35
18.3	27
30.5	22
39.8	21
37.9	20
42.7	20
28.2	19
52.2	17
46.9	15